Diffraction record for AlAgIr3. The powder X-ray diffraction pattern is theoretical, not measured: it uses a cell relaxed with PBE and λ = 1.5418 Å (Cu Kα).
Neutral-atom scattering factors, no anomalous dispersion.

Structure:
```
data_AlAgIr3
_cell_length_a 4.483
_cell_length_b 4.483
_cell_length_c 4.483
_cell_angle_alpha 90.00
_cell_angle_beta 90.00
_cell_angle_gamma 90.00
_symmetry_space_group_name_H-M 'P m -3 m'
_symmetry_Int_Tables_number 221
_symmetry_space_group_name_Hall '-P 4 2 3'
loop_
_atom_site_label
_atom_site_type_symbol
_atom_site_fract_x
_atom_site_fract_y
_atom_site_fract_z
_atom_site_occupancy
Al1 Al 0.000 0.000 0.000 1
Ag1 Ag 0.500 0.500 0.500 1
Ir1 Ir 0.000 0.000 0.500 1
```

Most intense lines, 10° ≤ 2θ ≤ 80°, sorted by position:
| 2θ (°) | intensity |
| --- | --- |
| 19.80 | 8 |
| 28.15 | 1 |
| 34.66 | 100 |
| 40.23 | 58 |
| 45.23 | 4 |
| 58.21 | 40 |
| 62.11 | 2 |
| 69.55 | 40 |
| 73.12 | 13 |
| 76.63 | 1 |